No. 1
The following is a computed X-ray diffraction stick pattern of Li2CuSi2O6. It was derived from the GGA-PBE geometry in the Materials Project, using λ = 1.5418 Å (Cu Kα).

Peak list (6 most intense, 2θ = 10–90°, by angle)
- d 4.936, 2θ 18.0, I 12
- d 4.015, 2θ 22.1, I 100
- d 3.359, 2θ 26.5, I 14
- d 2.551, 2θ 35.2, I 20
- d 2.407, 2θ 37.4, I 28
- d 2.281, 2θ 39.5, I 15

Structure:
Unit cell a=7.2759 b=19.5214 c=7.1557 alpha=90.00 beta=90.00 gamma=90.00
Space group Fdd2 (No. 43)
Inequivalent atoms, fractional coordinates:
Li  0.0272  0.1683  0.0000 (multiplicity 16)
Cu  0.0000  0.0000  0.0207 (multiplicity 8)
Si  0.0513  0.3314  0.9409 (multiplicity 16)
O  0.0041  0.2445  0.3635 (multiplicity 16)
O  0.0345  0.0828  0.8462 (multiplicity 16)
O  0.1083  0.3802  0.7580 (multiplicity 16)

***

No. 2
The following is a computed X-ray diffraction stick pattern of Li2Cu2Si8O19. It was derived from the GGA-PBE geometry in the Materials Project, using λ = 1.5418 Å (Cu Kα).

Peak list (6 most intense, 2θ = 10–90°, by angle)
- d 6.591, 2θ 13.4, I 52
- d 5.254, 2θ 16.9, I 64
- d 4.465, 2θ 19.9, I 78
- d 3.442, 2θ 25.9, I 75
- d 3.234, 2θ 27.6, I 100
- d 2.944, 2θ 30.4, I 64

Structure:
Unit cell a=13.5559 b=4.9321 c=12.4279 alpha=90.00 beta=108.56 gamma=90.00
Space group C2 (No. 5)
Inequivalent atoms, fractional coordinates:
Li  0.1038  0.0000  0.1315 (multiplicity 4)
Cu  0.1984  0.1839  0.9027 (multiplicity 4)
Si  0.0092  0.7895  0.6683 (multiplicity 4)
Si  0.0703  0.6546  0.9218 (multiplicity 4)
Si  0.1209  0.3019  0.4295 (multiplicity 4)
Si  0.2208  0.0933  0.6710 (multiplicity 4)
O  0.0000  0.7795  0.0000 (multiplicity 2)
O  0.0009  0.7752  0.2036 (multiplicity 4)
O  0.0164  0.4927  0.3917 (multiplicity 4)
O  0.0761  0.3282  0.9300 (multiplicity 4)
O  0.0829  0.9903  0.4024 (multiplicity 4)
O  0.1229  0.8970  0.6722 (multiplicity 4)
O  0.1827  0.8110  0.9573 (multiplicity 4)
O  0.1840  0.3105  0.5650 (multiplicity 4)
O  0.1928  0.3877  0.3522 (multiplicity 4)
O  0.2310  0.7472  0.2079 (multiplicity 4)

***

No. 3
The following is a computed X-ray diffraction stick pattern of Li4CuSi2O7. It was derived from the GGA-PBE geometry in the Materials Project, using λ = 1.5418 Å (Cu Kα).

Peak list (6 most intense, 2θ = 10–90°, by angle)
- d 6.583, 2θ 13.5, I 52
- d 4.328, 2θ 20.5, I 100
- d 4.069, 2θ 21.8, I 72
- d 2.724, 2θ 32.9, I 38
- d 2.683, 2θ 33.4, I 66
- d 2.484, 2θ 36.2, I 55

Structure:
Unit cell a=13.1919 b=5.4485 c=8.1540 alpha=90.00 beta=93.61 gamma=90.00
Space group Cc (No. 9)
Inequivalent atoms, fractional coordinates:
Li  0.0000  0.1504  0.0000 (multiplicity 4)
Li  0.0702  0.3283  0.3526 (multiplicity 4)
Li  0.2039  0.3392  0.0694 (multiplicity 4)
Li  0.2800  0.1834  0.4267 (multiplicity 4)
Cu  0.4282  0.1671  0.1496 (multiplicity 4)
Si  0.1401  0.1712  0.7061 (multiplicity 4)
Si  0.3534  0.3249  0.7766 (multiplicity 4)
O  0.0508  0.3133  0.8039 (multiplicity 4)
O  0.1133  0.1160  0.1729 (multiplicity 4)
O  0.1682  0.3180  0.5410 (multiplicity 4)
O  0.2471  0.1879  0.8396 (multiplicity 4)
O  0.3263  0.3846  0.2386 (multiplicity 4)
O  0.3898  0.1827  0.6121 (multiplicity 4)
O  0.4404  0.3056  0.9275 (multiplicity 4)